Starting from DFT lattice parameters and positions (PBE), the powder diffractogram of Li2NbNi6 was computed for λ = 1.5418 Å (Cu Kα).
Neutral-atom scattering factors, no anomalous dispersion.

Principal peaks in the range 5° ≤ 2θ ≤ 70°, in order of falling intensity:
44.22 deg, d 2.048, rel. 1000
46.07 deg, d 1.970, rel. 989
15.38 deg, d 5.761, rel. 955
13.23 deg, d 6.691, rel. 900
46.23 deg, d 1.964, rel. 732
40.66 deg, d 2.219, rel. 728

Cell and atoms:
```
data_Li2NbNi6
_space_group_name_H-M_alt 'C 1 2/c 1'
_space_group_IT_number 15
_space_group_name_Hall '-C 2yc'
_cell_length_a 8.551
_cell_length_b 11.521
_cell_length_c 4.571
_cell_angle_alpha 90.00
_cell_angle_beta 106.01
_cell_angle_gamma 90.00
loop_
_atom_site_label
_atom_site_fract_x
_atom_site_fract_y
_atom_site_fract_z
Li1 0.150 0.004 0.350
Nb1 0.000 0.410 0.250
Ni1 0.068 0.195 0.043
Ni2 0.146 0.372 0.804
Ni3 0.219 0.178 0.648
```


Starting from DFT lattice parameters and positions (PBE), the powder diffractogram of LiNbNi6 was computed for λ = 1.5418 Å (Cu Kα).
Neutral-atom scattering factors, no anomalous dispersion.

Principal peaks in the range 5° ≤ 2θ ≤ 70°, in order of falling intensity:
46.26 deg, d 1.962, rel. 1000
40.37 deg, d 2.234, rel. 274
44.13 deg, d 2.052, rel. 255
19.87 deg, d 4.469, rel. 158
61.33 deg, d 1.511, rel. 149
29.55 deg, d 3.023, rel. 66

Cell and atoms:
```
data_LiNbNi6
_space_group_name_H-M_alt 'P -6 m 2'
_space_group_IT_number 187
_space_group_name_Hall 'P -6 2'
_cell_length_a 5.1603
_cell_length_b 5.1603
_cell_length_c 4.1044
_cell_angle_alpha 90.00
_cell_angle_beta 90.00
_cell_angle_gamma 120.00
loop_
_atom_site_label
_atom_site_fract_x
_atom_site_fract_y
_atom_site_fract_z
Li1 0.0000 0.0000 0.0000
Nb1 0.3333 0.6667 0.5000
Ni1 0.3339 0.1670 0.5000
Ni2 0.5066 0.0132 0.0000
```